Diffraction record for Sc2MnF8. The powder diffraction line list is simulated, not measured: it uses a DFT-relaxed cell (GGA+U, Alexandria) and Cu Kα, 1.54184 Å.
Peak positions follow from Bragg's law for the DFT cell and can differ from measured ones.

Structural model:
Lattice parameters (Å, degrees): 4.1598 6.6509 6.6612 60.19 89.96 89.97
Atoms (fractional coordinates):
Sc1 0.2490 0.1668 0.1675
Sc2 0.7510 0.8332 0.8325
Mn1 0.5000 0.5000 0.5000
F1 0.2484 0.8332 0.8319
F2 0.2570 0.3329 0.8320
F3 0.2566 0.3371 0.3350
F4 0.2569 0.8303 0.3360
F5 0.7431 0.1697 0.6640
F6 0.7434 0.6629 0.6650
F7 0.7430 0.6671 0.1680
F8 0.7516 0.1668 0.1681

Most intense lines, 2θ from 10° to 90°, in order of falling intensity:
2θ = 26.76°, d 3.331, intensity 100, hkl 0 2 1; 2θ = 26.41°, d 3.374, intensity 90, hkl 1 0 -1; 2θ = 55.20°, d 1.664, intensity 30, hkl 0 4 2; 2θ = 54.37°, d 1.687, intensity 29, hkl 2 0 -2; 2θ = 37.96°, d 2.371, intensity 22, hkl 1 0 -2; 2θ = 46.41°, d 1.957, intensity 19, hkl 2 1 1; 2θ = 47.10°, d 1.930, intensity 17, hkl -1 3 1; 2θ = 47.00°, d 1.933, intensity 17, hkl 1 1 -2; 2θ = 55.03°, d 1.669, intensity 15, hkl 0 2 -2; 2θ = 34.49°, d 2.600, intensity 13, hkl -1 2 1; 2θ = 43.51°, d 2.080, intensity 13, hkl 2 0 0; 2θ = 47.21°, d 1.925, intensity 13, hkl 0 3 0